Record 1
Sm5Cd2O2: simulated X-ray diffraction stick pattern (Cu Ka), based on a PBE-relaxed structure.

Structure:
Lattice parameters (Å, degrees): 10.376 10.376 10.376 140.31 57.78 139.79
Atoms (fractional coordinates):
Sm: 0.000 0.000 0.500
Sm: 0.000 0.500 0.000
Sm: 0.217 0.081 0.136
Sm: 0.232 0.000 0.732
Sm: 0.232 0.500 0.232
Sm: 0.445 0.081 0.364
Sm: 0.555 0.919 0.636
Sm: 0.768 0.000 0.268
Sm: 0.768 0.500 0.768
Sm: 0.783 0.919 0.864
Cd: 0.117 0.489 0.628
Cd: 0.360 0.489 0.872
Cd: 0.640 0.511 0.128
Cd: 0.883 0.511 0.372
O: 0.000 0.000 0.000
O: 0.214 0.964 0.250
O: 0.500 0.000 0.500
O: 0.786 0.036 0.750

Principal peaks in the range 10° ≤ 2θ ≤ 90°, low angle first:
2theta	I/Imax
27.55	34.8
28.69	25.5
31.90	73.8
32.16	100.0
35.83	69.2
39.69	24.8
52.85	18.7
53.90	16.3
54.53	28.0
62.25	21.7


Record 2
SmUCdO6: simulated X-ray diffraction stick pattern (Cu Ka), based on a PBE-relaxed structure.

Structure:
Lattice parameters (Å, degrees): 5.912 5.912 4.584 90.00 90.00 120.00
Atoms (fractional coordinates):
Sm: 0.000 0.000 0.000
U: 0.333 0.667 0.000
Cd: 0.667 0.333 0.500
O: 0.031 0.365 0.232
O: 0.031 0.666 0.768
O: 0.334 0.365 0.768
O: 0.334 0.969 0.232
O: 0.635 0.666 0.232
O: 0.635 0.969 0.768

Principal peaks in the range 10° ≤ 2θ ≤ 90°, low angle first:
2theta	I/Imax
17.32	15.8
19.36	25.7
26.09	100.0
30.23	69.3
36.16	32.2
40.35	31.3
50.38	48.9
51.24	31.6
53.70	24.9
69.25	18.7